Starting from the GGA-PBE geometry in Alexandria, the PXRD pattern of Rb2ZnBr4 was simulated for CuKα.
Intensities are scaled so that the largest is 100.

Crystal structure
abc: 7.844 9.797 15.651
angles: 90.00 118.16 90.00
Space group P2_1/c (No. 14)
Symmetry-distinct sites (fractional):
Rb (0.036, 0.004, 0.322)
Rb (0.360, 0.120, 0.096)
Zn (0.328, 0.724, 0.083)
Br (0.116, 0.666, 0.428)
Br (0.245, 0.697, 0.707)
Br (0.296, 0.021, 0.574)
Br (0.344, 0.195, 0.869)

Main lines, by intensity (2θ = 10–90°):
index	2θ (°)	I_rel
0 3 1	28.08	100
2 0 -2	22.70	68
0 3 2	30.27	57
1 1 -4	24.49	55
2 0 -4	26.56	53
2 2 -1	29.73	53
2 1 0	27.38	50
1 1 3	29.39	47
0 0 4	25.80	45
2 2 -2	29.18	36
1 1 0	15.70	36
1 0 -6	34.79	29

***

Starting from the GGA-PBE geometry in Alexandria, the PXRD pattern of Rb6ZrBr12 was simulated for CuKα.
Intensities are scaled so that the largest is 100.

Crystal structure
abc: 14.3782 14.3782 14.2365
angles: 90.00 90.00 120.00
Space group R-3 (No. 148, hexagonal axes)
Symmetry-distinct sites (fractional):
Rb (0.0622, 0.4719, 0.3133)
Zr (0.0000, 0.0000, 0.0000)
Br (0.0494, 0.1702, 0.8927)
Br (0.0704, 0.2509, 0.4019)

Main lines, by intensity (2θ = 10–90°):
index	2θ (°)	I_rel
2 1 4	31.52	100
2 1 1	19.87	82
1 4 0	32.96	74
5 -1 3	38.17	45
3 1 2	28.73	32
1 3 1	26.56	31
1 0 4	26.04	26
5 -2 1	31.95	23
0 0 3	18.70	21
0 2 1	15.53	21
6 -4 4	46.25	20
3 -2 8	55.22	20